# AcCd2Ni2Au
Theoretical powder XRD pattern, Cu Kα (λ = 1.5418 Å). Input: the PBE geometry in Alexandria.
Intensities are scaled so that the largest is 100.

Largest 6 diffraction maxima, low angle first, 2θ from 10° to 90°:
2θ 24.7, rel. 30
2θ 30.0, rel. 100
2θ 33.7, rel. 41
2θ 35.3, rel. 74
2θ 49.6, rel. 55
2θ 60.1, rel. 29

Structure:
Cell lengths 5.088, 5.088, 10.646 Å; angles 90.00, 90.00, 90.00 degrees
Space group I4/mmm (No. 139)
Unique sites:
Ac (0.000, 0.000, 0.000)
Cd (0.000, 0.500, 0.250)
Ni (0.000, 0.000, 0.263)
Au (0.000, 0.000, 0.500)